# 1
Simulated PXRD pattern of MgSi2 for Cu Ka, from a crystal structure in the Materials Project, relaxed with GGA-PBE.

Cell and atoms:
abc: 10.475 3.695 12.307
angles: 90.00 109.17 90.00
Space group Cm (No. 8)
Symmetry-distinct sites (fractional):
1 Mg 0.000 0.000 0.000 x2
2 Mg 0.039 0.000 0.761 x2
3 Mg 0.196 0.500 0.432 x2
4 Mg 0.421 0.500 0.299 x2
5 Si 0.040 0.000 0.534 x2
6 Si 0.041 0.500 0.190 x2
7 Si 0.196 0.500 0.951 x2
8 Si 0.198 0.000 0.225 x2
9 Si 0.263 0.000 0.673 x2
10 Si 0.292 0.500 0.798 x2
11 Si 0.301 0.000 0.074 x2
12 Si 0.406 0.000 0.554 x2

Peak list (10 most intense, 2θ = 15–90°, by intensity)
- 2θ 31.56, intensity 100, hkl 1 1 2
- 2θ 49.32, intensity 72, hkl 0 2 0
- 2θ 43.30, intensity 64, hkl 3 1 2
- 2θ 28.45, intensity 58, hkl 1 1 -2
- 2θ 39.26, intensity 54, hkl 3 1 1
- 2θ 38.22, intensity 51, hkl 3 1 -3
- 2θ 35.98, intensity 46, hkl 3 1 -2
- 2θ 38.07, intensity 42, hkl 1 1 -4
- 2θ 46.72, intensity 41, hkl 3 1 -5
- 2θ 40.85, intensity 40, hkl 2 0 4

---

# 2
Simulated PXRD pattern of TiPd3 for Cu Ka, from a crystal structure in the Materials Project, relaxed with GGA-PBE.

Cell and atoms:
abc: 3.932 3.932 3.932
angles: 90.00 90.00 90.00
Space group Pm-3m (No. 221)
Symmetry-distinct sites (fractional):
1 Ti 0.000 0.000 0.000 x1
2 Pd 0.000 0.500 0.500 x3

Peak list (10 most intense, 2θ = 15–90°, by intensity)
- 2θ 39.70, intensity 100, hkl 1 1 1
- 2θ 46.17, intensity 48, hkl 2 0 0
- 2θ 81.12, intensity 35, hkl 3 1 1
- 2θ 67.36, intensity 30, hkl 2 2 0
- 2θ 85.56, intensity 10, hkl 2 2 2
- 2θ 22.61, intensity 9, hkl 1 0 0
- 2θ 32.20, intensity 7, hkl 1 1 0
- 2θ 52.00, intensity 4, hkl 2 1 0
- 2θ 57.40, intensity 3, hkl 2 1 1
- 2θ 72.06, intensity 2, hkl 3 0 0

---

# 3
Simulated PXRD pattern of GdErIr2 for Cu Ka, from a crystal structure in the Materials Project, relaxed with GGA-PBE.

Cell and atoms:
abc: 6.864 6.864 6.864
angles: 90.00 90.00 90.00
Space group Fm-3m (No. 225)
Symmetry-distinct sites (fractional):
1 Gd 0.000 0.000 0.000 x4
2 Er 0.000 0.000 0.500 x4
3 Ir 0.250 0.250 0.250 x8

Peak list (5 most intense, 2θ = 15–90°, by intensity)
- 2θ 37.05, intensity 100, hkl 2 2 0
- 2θ 66.77, intensity 36, hkl 4 2 2
- 2θ 53.39, intensity 18, hkl 4 0 0
- 2θ 78.89, intensity 11, hkl 4 4 0
- 2θ 25.96, intensity 1, hkl 2 0 0

---

# 4
Simulated PXRD pattern of CsMgBr3 for Cu Ka, from a crystal structure in the Materials Project, relaxed with GGA-PBE.

Cell and atoms:
abc: 7.8198 7.8198 6.6228
angles: 90.00 90.00 120.00
Space group P6_3/mmc (No. 194)
Symmetry-distinct sites (fractional):
1 Cs 0.3333 0.6667 0.2500 x2
2 Mg 0.0000 0.0000 0.0000 x2
3 Br 0.1573 0.3146 0.7500 x6

Peak list (10 most intense, 2θ = 15–90°, by intensity)
- 2θ 29.63, intensity 100, hkl 2 0 1
- 2θ 26.93, intensity 25, hkl 0 0 2
- 2θ 49.28, intensity 24, hkl 2 0 3
- 2θ 38.01, intensity 22, hkl 2 0 2
- 2θ 46.45, intensity 21, hkl 2 2 0
- 2θ 54.51, intensity 19, hkl 2 2 2
- 2θ 26.32, intensity 17, hkl 2 0 0
- 2θ 56.07, intensity 15, hkl 4 0 1
- 2θ 75.69, intensity 12, hkl 4 2 1
- 2θ 75.20, intensity 10, hkl 2 2 4

---

# 5
Simulated PXRD pattern of Ho4Ga12Fe for Cu Ka, from a crystal structure in the Materials Project, relaxed with GGA-PBE.

Cell and atoms:
abc: 8.560 8.560 8.560
angles: 90.00 90.00 90.00
Space group Im-3m (No. 229)
Symmetry-distinct sites (fractional):
1 Ho 0.250 0.250 0.250 x8
2 Ga 0.000 0.000 0.284 x12
3 Ga 0.000 0.250 0.500 x12
4 Fe 0.000 0.000 0.000 x2

Peak list (10 most intense, 2θ = 15–90°, by intensity)
- 2θ 36.36, intensity 100, hkl 2 2 2
- 2θ 42.23, intensity 57, hkl 4 0 0
- 2θ 61.26, intensity 35, hkl 4 4 0
- 2θ 73.37, intensity 33, hkl 6 2 2
- 2θ 29.52, intensity 25, hkl 2 2 0
- 2θ 20.75, intensity 12, hkl 2 0 0
- 2θ 77.22, intensity 11, hkl 4 4 4
- 2θ 52.36, intensity 8, hkl 4 2 2
- 2θ 47.50, intensity 8, hkl 4 2 0
- 2θ 69.45, intensity 6, hkl 6 2 0

---

# 6
Simulated PXRD pattern of Tb3Co11B4 for Cu Ka, from a crystal structure in the Materials Project, relaxed with GGA-PBE.

Cell and atoms:
abc: 5.0368 5.0368 9.7640
angles: 90.00 90.00 120.00
Space group P6/mmm (No. 191)
Symmetry-distinct sites (fractional):
1 Tb 0.0000 0.0000 0.0000 x1
2 Tb 0.0000 0.0000 0.3416 x2
3 Co 0.0000 0.5000 0.2014 x6
4 Co 0.0000 0.5000 0.5000 x3
5 Co 0.3333 0.6667 0.0000 x2
6 B 0.3333 0.6667 0.3491 x4

Peak list (10 most intense, 2θ = 15–90°, by intensity)
- 2θ 34.38, intensity 100, hkl 1 0 3
- 2θ 45.54, intensity 93, hkl 1 1 3
- 2θ 41.40, intensity 89, hkl 2 0 0
- 2θ 63.22, intensity 34, hkl 2 1 3
- 2θ 35.65, intensity 29, hkl 1 1 0
- 2θ 20.36, intensity 24, hkl 1 0 0
- 2θ 71.00, intensity 23, hkl 3 0 3
- 2θ 75.50, intensity 21, hkl 2 2 0
- 2θ 72.47, intensity 16, hkl 2 0 6
- 2θ 68.68, intensity 15, hkl 1 1 6